# Ho3Zn2In3
Simulated powder diffractogram, Cu Ka. Input: a structure optimized by DFT (PBE).

Crystal structure
a b c (Å): 7.5060 7.5060 3.9205
angles (deg): 90.00 90.00 120.00
Space group P-62m (No. 189)
One atom of each set of equivalent atoms:
Ho  0.0000  0.5983  0.0000
Zn  0.3333  0.6667  0.5000
In  0.0000  0.2436  0.5000

Main lines, in order of falling intensity (2θ from 15° to 90°):
33.04 deg, I 100.0; 36.57 deg, I 52.4; 35.89 deg, I 43.8; 60.41 deg, I 23.7; 56.15 deg, I 23.2; 46.32 deg, I 16.3; 41.68 deg, I 16.2; 67.16 deg, I 16.0; 23.71 deg, I 13.4; 77.32 deg, I 12.0; 26.55 deg, I 11.4; 50.63 deg, I 11.3